# Y2Al6Au9
Computed XRD peak list, Cu Kα (weighted mean of Kα1 and Kα2). Input: DFT lattice parameters and positions (PBE).

Most intense lines, 10 to 90 degrees two-theta, sorted by position:
(1 0 0), 17.82 deg, intensity 37
(0 0 3), 21.66 deg, intensity 66
(1 0 3), 28.18 deg, intensity 50
(2 0 0), 36.09 deg, intensity 97
(1 1 3), 38.23 deg, intensity 41
(2 0 3), 42.48 deg, intensity 100
(0 0 6), 44.14 deg, intensity 23
(2 0 6), 58.28 deg, intensity 49
(2 2 0), 64.89 deg, intensity 23
(2 2 6), 81.84 deg, intensity 24

Cell and atoms:
a = 5.7481 Å, b = 5.7481 Å, c = 12.3099 Å
α = 90.00°, β = 90.00°, γ = 120.00°
Space group P6/mmm (No. 191)
Symmetry-distinct sites (fractional):
Y1 0.0000 0.0000 0.1737 x2
Al1 0.3333 0.6667 0.1655 x4
Al2 0.3333 0.6667 0.5000 x2
Au1 0.0000 0.5000 0.0000 x3
Au2 0.0000 0.5000 0.3317 x6